# 1
This entry pairs a crystal structure of LiFePO4 with its simulated X-ray powder pattern. Radiation: Cu Ka. Structure: a cell relaxed with PBE+U.
Peak positions follow from Bragg's law for the DFT cell and can differ from measured ones.

Cell and atoms:
```
LiFePO4
1.0
5.8880 0.0000 0.0000
-1.0604 7.4074 0.0000
-1.5590 -2.7336 8.7014
Li Fe P O
4 4 4 16
direct
0.0035 0.0089 0.2490
0.1320 0.5155 0.8938
0.8680 0.4845 0.1062
0.9965 0.9911 0.7510
0.3751 0.4920 0.6365
0.4986 0.9856 0.2425
0.5014 0.0144 0.7575
0.6249 0.5080 0.3635
0.1839 0.7513 0.4395
0.3035 0.2497 0.0610
0.6965 0.7503 0.9390
0.8161 0.2487 0.5605
0.0623 0.3674 0.6451
0.1231 0.3747 0.0480
0.1855 0.8713 0.6044
0.2488 0.1198 0.1629
0.2607 0.8793 0.3436
0.3040 0.1235 0.8971
0.3586 0.6120 0.4549
0.4435 0.6278 0.8619
0.5565 0.3722 0.1381
0.6414 0.3880 0.5451
0.6960 0.8765 0.1029
0.7393 0.1207 0.6564
0.7512 0.8802 0.8371
0.8145 0.1287 0.3956
0.8769 0.6253 0.9520
0.9377 0.6326 0.3549
```

Main lines, by intensity (2θ from 10° to 80°):
d 3.263, I = 100.0; d 3.290, I = 93.1; d 4.250, I = 74.5; d 5.690, I = 50.6; d 3.304, I = 29.4; d 3.886, I = 26.2; d 2.280, I = 24.5; d 2.020, I = 23.2; d 2.030, I = 21.8; d 1.451, I = 19.8

# 2
This entry pairs a crystal structure of Li3Fe2P3O12 with its simulated X-ray powder pattern. Radiation: Cu Ka. Structure: a cell relaxed with PBE+U.
Peak positions follow from Bragg's law for the DFT cell and can differ from measured ones.

Cell and atoms:
```
Li3Fe2P3O12
1.0
4.2120 2.4318 7.6155
-4.2120 2.4318 7.6155
0.0000 -4.8636 7.6155
Li Fe P O
6 4 6 24
direct
0.1657 0.7634 0.4242
0.2366 0.5758 0.8343
0.4242 0.1657 0.7634
0.5758 0.8343 0.2366
0.7634 0.4242 0.1657
0.8343 0.2366 0.5758
0.1516 0.1516 0.1516
0.3534 0.3534 0.3534
0.6466 0.6466 0.6466
0.8484 0.8484 0.8484
0.0396 0.4575 0.7518
0.2482 0.9604 0.5425
0.4575 0.7518 0.0396
0.5425 0.2482 0.9604
0.7518 0.0396 0.4575
0.9604 0.5425 0.2482
0.0075 0.3325 0.9682
0.0318 0.9925 0.6675
0.0366 0.6549 0.7097
0.1151 0.5084 0.2974
0.2455 0.3630 0.6250
0.2903 0.9634 0.3451
0.2974 0.1151 0.5084
0.3325 0.9682 0.0075
0.3451 0.2903 0.9634
0.3630 0.6250 0.2455
0.3750 0.7545 0.6370
0.4916 0.7026 0.8849
0.5084 0.2974 0.1151
0.6250 0.2455 0.3630
0.6370 0.3750 0.7545
0.6549 0.7096 0.0366
0.6675 0.0318 0.9925
0.7026 0.8849 0.4916
0.7097 0.0366 0.6549
0.7545 0.6370 0.3750
0.8849 0.4916 0.7026
0.9634 0.3451 0.2903
0.9682 0.0075 0.3325
0.9925 0.6675 0.0318
```

Main lines, by intensity (2θ from 10° to 80°):
d 3.686, I = 100.0; d 2.825, I = 82.3; d 4.497, I = 79.6; d 6.148, I = 75.4; d 3.074, I = 53.3; d 2.432, I = 26.3; d 1.759, I = 22.8; d 1.843, I = 19.8; d 4.212, I = 18.8; d 1.515, I = 18.7

# 3
This entry pairs a crystal structure of Li2FePO5 with its simulated X-ray powder pattern. Radiation: Cu Ka. Structure: a cell relaxed with PBE+U.
Peak positions follow from Bragg's law for the DFT cell and can differ from measured ones.

Cell and atoms:
```
Li2FePO5
1.0
6.4297 0.0000 0.0000
0.0000 6.4297 0.0000
0.0000 0.0000 4.4950
Li Fe P O
4 2 2 10
direct
0.0000 0.0000 0.0000
0.0000 0.5000 0.0000
0.5000 0.0000 0.0000
0.5000 0.5000 0.0000
0.2500 0.2500 0.4306
0.7500 0.7500 0.5694
0.2500 0.7500 0.5000
0.7500 0.2500 0.5000
0.0560 0.7500 0.7053
0.2500 0.2500 0.8323
0.2500 0.5560 0.2947
0.2500 0.9440 0.2947
0.4440 0.7500 0.7053
0.5560 0.2500 0.2947
0.7500 0.0560 0.7053
0.7500 0.4440 0.7053
0.7500 0.7500 0.1677
0.9440 0.2500 0.2947
```

Main lines, by intensity (2θ from 10° to 80°):
d 3.215, I = 100.0; d 4.495, I = 78.2; d 2.615, I = 78.2; d 3.684, I = 25.9; d 2.122, I = 25.9; d 1.598, I = 23.7; d 1.607, I = 22.3; d 1.935, I = 17.4; d 2.033, I = 17.2; d 1.369, I = 16.3

# 4
This entry pairs a crystal structure of Li2Fe3P4O14 with its simulated X-ray powder pattern. Radiation: Cu Ka. Structure: a cell relaxed with PBE+U.
Peak positions follow from Bragg's law for the DFT cell and can differ from measured ones.

Cell and atoms:
```
Li2Fe3P4O14
1.0
7.6633 0.0000 0.0000
0.0000 7.7435 0.0000
-3.9395 0.0000 10.2255
Li Fe P O
4 6 8 28
direct
0.2404 0.0989 0.2634
0.2404 0.4011 0.7634
0.7596 0.5989 0.2366
0.7596 0.9011 0.7366
0.0000 0.0000 0.0000
0.0000 0.5000 0.5000
0.4944 0.2009 0.5433
0.4944 0.2991 0.0433
0.5056 0.7009 0.9567
0.5056 0.7991 0.4567
0.1356 0.7331 0.2847
0.1356 0.7669 0.7847
0.4527 0.0512 0.8006
0.4527 0.4488 0.3006
0.5473 0.5512 0.6994
0.5473 0.9488 0.1994
0.8644 0.2331 0.2153
0.8644 0.2669 0.7153
0.0142 0.6366 0.3471
0.0142 0.8634 0.8471
0.0457 0.7406 0.6397
0.0457 0.7594 0.1397
0.2344 0.6073 0.8656
0.2344 0.8927 0.3656
0.3316 0.6093 0.3258
0.3316 0.8907 0.8258
0.3466 0.0083 0.1318
0.3466 0.4917 0.6318
0.3866 0.0743 0.6526
0.3866 0.4257 0.1526
0.4004 0.2128 0.8636
0.4004 0.2872 0.3636
0.5996 0.7128 0.6364
0.5996 0.7872 0.1364
0.6134 0.5743 0.8474
0.6134 0.9257 0.3474
0.6534 0.5083 0.3682
0.6534 0.9917 0.8682
0.6684 0.1093 0.1742
0.6684 0.3907 0.6742
0.7656 0.1073 0.6344
0.7656 0.3927 0.1344
0.9543 0.2406 0.8603
0.9543 0.2594 0.3603
0.9858 0.1366 0.1529
0.9858 0.3634 0.6529
```

Main lines, by intensity (2θ from 10° to 80°):
d 3.088, I = 100.0; d 7.151, I = 50.0; d 3.575, I = 49.9; d 4.268, I = 39.7; d 2.634, I = 36.1; d 5.265, I = 35.7; d 3.283, I = 35.5; d 6.173, I = 31.3; d 3.246, I = 29.0; d 4.240, I = 26.2

# 5
This entry pairs a crystal structure of LiFePO4 with its simulated X-ray powder pattern. Radiation: Cu Ka. Structure: a cell relaxed with PBE+U.
Peak positions follow from Bragg's law for the DFT cell and can differ from measured ones.

Cell and atoms:
```
LiFePO4
1.0
7.8570 0.0000 0.0000
0.0000 5.2514 0.0000
-1.3199 0.0000 8.7185
Li Fe P O
4 4 4 16
direct
0.0017 0.0000 0.3954
0.4805 0.1287 0.2013
0.5195 0.6287 0.7987
0.9983 0.5000 0.6046
0.1954 0.5823 0.0862
0.3557 0.9925 0.5825
0.6443 0.4925 0.4175
0.8046 0.0823 0.9138
0.2337 0.0741 0.9143
0.2833 0.5047 0.4466
0.7167 0.0047 0.5534
0.7663 0.5741 0.0857
0.0396 0.0386 0.8566
0.1729 0.2893 0.5045
0.1830 0.7598 0.4431
0.2825 0.3619 0.9278
0.2838 0.9477 0.0756
0.3372 0.4417 0.2896
0.3390 0.9388 0.8016
0.4526 0.5426 0.5643
0.5474 0.0426 0.4357
0.6610 0.4388 0.1984
0.6628 0.9417 0.7104
0.7162 0.4477 0.9244
0.7175 0.8619 0.0722
0.8170 0.2598 0.5569
0.8271 0.7893 0.4955
0.9604 0.5386 0.1434
```

Main lines, by intensity (2θ from 10° to 80°):
d 4.498, I = 100.0; d 3.884, I = 74.6; d 4.359, I = 71.6; d 2.543, I = 37.3; d 2.626, I = 36.7; d 6.286, I = 33.3; d 1.844, I = 31.1; d 3.361, I = 25.7; d 5.412, I = 22.6; d 3.143, I = 22.0